Theoretical powder diffractogram of Ca16HN8 for Cu Kα (λ = 1.5418 Å), from a crystal structure in the Materials Project, relaxed with GGA-PBE.
Neutral-atom scattering factors, no anomalous dispersion.

The 10 most intense peaks (15° ≤ 2θ ≤ 90°), by angle:
| 2θ/deg | I/Imax |
| --- | --- |
| 29.79 | 52 |
| 29.96 | 51 |
| 34.63 | 100 |
| 45.41 | 9 |
| 45.53 | 13 |
| 49.79 | 37 |
| 59.01 | 10 |
| 59.16 | 10 |
| 59.30 | 10 |
| 83.46 | 9 |

Cell and atoms:
```
Ca16HN8
1.0
7.2961 0.0000 0.0000
0.0000 10.3585 0.0000
0.0000 0.0000 14.7114
Ca H N
32 2 16
direct
0.0000 0.0106 0.0000
0.0000 0.0153 0.2215
0.0000 0.0146 0.5011
0.0000 0.0158 0.7203
0.0000 0.4844 0.2512
0.0000 0.4852 0.4711
0.0000 0.4846 0.7504
0.0000 0.4890 0.9716
0.2200 0.2353 0.1113
0.2201 0.2648 0.8608
0.2245 0.2357 0.6092
0.2252 0.2638 0.3627
0.2748 0.7362 0.8627
0.2755 0.7643 0.1092
0.2799 0.7352 0.3608
0.2800 0.7647 0.6113
0.5000 0.5110 0.4716
0.5000 0.5154 0.2504
0.5000 0.5148 0.9711
0.5000 0.5156 0.7512
0.5000 0.9842 0.2203
0.5000 0.9854 0.0011
0.5000 0.9847 0.7215
0.5000 0.9894 0.5000
0.7201 0.7352 0.3608
0.7200 0.7647 0.6113
0.7252 0.7362 0.8627
0.7245 0.7643 0.1092
0.7755 0.2357 0.6092
0.7748 0.2638 0.3627
0.7800 0.2353 0.1113
0.7799 0.2648 0.8608
0.0000 0.7643 0.9717
0.5000 0.2357 0.4717
0.0000 0.2493 0.2360
0.0000 0.2500 0.4861
0.0000 0.2504 0.7355
0.0000 0.2503 0.9858
0.2501 0.0005 0.6104
0.2502 0.4996 0.3616
0.2498 0.5004 0.8616
0.2499 0.9995 0.1104
0.5000 0.7496 0.2355
0.5000 0.7497 0.4858
0.5000 0.7500 0.9861
0.5000 0.7507 0.7360
0.7499 0.0005 0.6104
0.7498 0.4996 0.3616
0.7502 0.5004 0.8616
0.7501 0.9995 0.1104
```